Computed powder diffractogram
Compound: Na6V2B4AsO16
Radiation: Cu Kα (λ = 1.5418 Å)
Structure: a cell relaxed with GGA+U
Lines closer than 0.1° are merged.

Cell and atoms:
a b c (Å): 9.962 9.962 9.962
angles (deg): 60.00 60.00 60.00
Fractional positions:
Na (0.089, 0.089, 0.661)
Na (0.089, 0.661, 0.089)
Na (0.089, 0.661, 0.661)
Na (0.339, 0.339, 0.911)
Na (0.339, 0.911, 0.339)
Na (0.339, 0.911, 0.911)
Na (0.661, 0.089, 0.089)
Na (0.661, 0.089, 0.661)
Na (0.661, 0.661, 0.089)
Na (0.911, 0.339, 0.339)
Na (0.911, 0.339, 0.911)
Na (0.911, 0.911, 0.339)
V (0.000, 0.500, 0.500)
V (0.500, 0.000, 0.500)
V (0.500, 0.500, 0.000)
V (0.500, 0.500, 0.500)
B (0.289, 0.289, 0.289)
B (0.289, 0.289, 0.633)
B (0.289, 0.633, 0.289)
B (0.367, 0.711, 0.711)
B (0.633, 0.289, 0.289)
B (0.711, 0.367, 0.711)
B (0.711, 0.711, 0.367)
B (0.711, 0.711, 0.711)
As (0.125, 0.125, 0.125)
As (0.875, 0.875, 0.875)
O (0.054, 0.054, 0.054)
O (0.054, 0.054, 0.337)
O (0.054, 0.337, 0.054)
O (0.134, 0.326, 0.636)
O (0.134, 0.404, 0.326)
O (0.134, 0.636, 0.404)
O (0.326, 0.134, 0.404)
O (0.326, 0.404, 0.636)
O (0.326, 0.636, 0.134)
O (0.337, 0.054, 0.054)
O (0.364, 0.596, 0.866)
O (0.364, 0.674, 0.596)
O (0.364, 0.866, 0.674)
O (0.404, 0.134, 0.636)
O (0.404, 0.326, 0.134)
O (0.404, 0.636, 0.326)
O (0.596, 0.364, 0.674)
O (0.596, 0.674, 0.866)
O (0.596, 0.866, 0.364)
O (0.636, 0.134, 0.326)
O (0.636, 0.326, 0.404)
O (0.636, 0.404, 0.134)
O (0.663, 0.946, 0.946)
O (0.674, 0.364, 0.866)
O (0.674, 0.596, 0.364)
O (0.674, 0.866, 0.596)
O (0.866, 0.364, 0.596)
O (0.866, 0.596, 0.674)
O (0.866, 0.674, 0.364)
O (0.946, 0.663, 0.946)
O (0.946, 0.946, 0.663)
O (0.946, 0.946, 0.946)

Principal peaks in the range 10 to 90 degrees two-theta, sorted by position:
2θ 17.81, intensity 29
2θ 20.91, intensity 100
2θ 21.85, intensity 17
2θ 33.04, intensity 80
2θ 36.06, intensity 55
2θ 46.01, intensity 18
2θ 51.92, intensity 16
2θ 56.57, intensity 31
2θ 62.93, intensity 16
2θ 68.95, intensity 16